Computed powder diffractogram
Compound: Pm5Sb5O2
Radiation: λ = 1.5418 Å (Cu Kα)
Structure: a crystal structure in Alexandria, relaxed with GGA-PBE
Intensities are scaled so that the largest is 100.

Structural model:
```
Pm5Sb5O2
1.0
7.283 -2.029 0.000
7.283 2.029 0.000
-1.977 0.000 10.677
Pm Sb O
5 5 2
direct
0.000 0.000 0.000
0.082 0.082 0.333
0.356 0.356 0.205
0.644 0.644 0.795
0.918 0.918 0.667
0.245 0.245 0.608
0.339 0.339 0.887
0.500 0.500 0.500
0.661 0.661 0.113
0.755 0.755 0.392
0.061 0.061 0.810
0.939 0.939 0.190
```

Main lines, in order of rising 2θ (2θ = 15–90°):
| 2theta | d [Å] | intensity |
| --- | --- | --- |
| 29.10 | 3.068 | 100.0 |
| 31.68 | 2.824 | 33.0 |
| 32.55 | 2.751 | 34.6 |
| 33.63 | 2.665 | 37.7 |
| 34.94 | 2.568 | 91.1 |
| 44.66 | 2.029 | 27.8 |

=====

Computed powder diffractogram
Compound: Pm4Sb3O2
Radiation: λ = 1.5418 Å (Cu Kα)
Structure: a crystal structure in Alexandria, relaxed with GGA-PBE
Intensities are scaled so that the largest is 100.

Structural model:
```
Pm4Sb3O2
1.0
7.058 -5.074 0.000
7.058 5.074 0.000
-0.559 0.000 6.515
Pm Sb O
8 6 4
direct
0.080 0.676 0.986
0.233 0.388 0.419
0.324 0.920 0.514
0.388 0.233 0.919
0.612 0.767 0.081
0.676 0.080 0.486
0.767 0.612 0.581
0.920 0.324 0.014
0.029 0.763 0.484
0.237 0.971 0.016
0.475 0.525 0.750
0.525 0.475 0.250
0.763 0.029 0.984
0.971 0.237 0.516
0.155 0.405 0.077
0.405 0.155 0.577
0.595 0.845 0.423
0.845 0.595 0.923
```

Main lines, in order of rising 2θ (2θ = 15–90°):
| 2theta | d [Å] | intensity |
| --- | --- | --- |
| 27.11 | 3.289 | 69.5 |
| 27.38 | 3.258 | 59.8 |
| 30.00 | 2.978 | 47.3 |
| 30.70 | 2.913 | 53.9 |
| 33.04 | 2.711 | 100.0 |
| 35.96 | 2.498 | 65.0 |

=====

Computed powder diffractogram
Compound: Pm4Sb6O19
Radiation: λ = 1.5418 Å (Cu Kα)
Structure: a crystal structure in Alexandria, relaxed with GGA-PBE
Intensities are scaled so that the largest is 100.

Structural model:
```
Pm4Sb6O19
1.0
8.220 0.000 0.000
-2.593 7.804 0.000
-2.673 -3.996 6.761
Pm Sb O
4 6 19
direct
0.000 0.000 0.000
0.031 0.722 0.309
0.317 0.276 0.594
0.730 0.998 0.285
0.192 0.671 0.797
0.363 0.499 0.125
0.506 0.853 0.619
0.552 0.164 0.975
0.692 0.515 0.470
0.868 0.347 0.797
0.018 0.997 0.297
0.025 0.648 0.935
0.032 0.367 0.659
0.071 0.301 0.975
0.278 0.955 0.951
0.313 0.992 0.560
0.317 0.682 0.317
0.322 0.605 0.643
0.387 0.325 0.910
0.391 0.370 0.297
0.412 0.701 0.035
0.643 0.372 0.619
0.669 0.648 0.297
0.683 0.277 0.277
0.722 0.065 0.590
0.732 0.753 0.684
0.749 0.029 0.033
0.793 0.408 0.004
0.983 0.654 0.559
```

Main lines, in order of rising 2θ (2θ = 15–90°):
| 2theta | d [Å] | intensity |
| --- | --- | --- |
| 22.67 | 3.923 | 49.1 |
| 22.82 | 3.896 | 44.8 |
| 29.35 | 3.043 | 100.0 |
| 29.59 | 3.019 | 51.6 |
| 30.06 | 2.973 | 67.0 |
| 35.02 | 2.562 | 34.1 |

=====

Computed powder diffractogram
Compound: PmSbSe2O
Radiation: λ = 1.5418 Å (Cu Kα)
Structure: a crystal structure in Alexandria, relaxed with GGA-PBE
Intensities are scaled so that the largest is 100.

Structural model:
```
PmSbSe2O
1.0
4.041 0.000 0.000
0.000 4.041 0.000
0.000 0.000 14.654
Pm Sb Se O
2 2 4 2
direct
0.250 0.250 0.080
0.750 0.750 0.920
0.250 0.250 0.636
0.750 0.750 0.364
0.250 0.250 0.392
0.250 0.250 0.812
0.750 0.750 0.188
0.750 0.750 0.608
0.250 0.750 0.000
0.750 0.250 0.000
```

Main lines, in order of rising 2θ (2θ = 15–90°):
| 2theta | d [Å] | intensity |
| --- | --- | --- |
| 24.30 | 3.664 | 31.1 |
| 28.67 | 3.113 | 50.6 |
| 31.31 | 2.857 | 100.0 |
| 37.92 | 2.372 | 30.2 |
| 40.02 | 2.253 | 43.3 |
| 44.86 | 2.020 | 42.7 |

=====

Computed powder diffractogram
Compound: SrPmSb2O8
Radiation: λ = 1.5418 Å (Cu Kα)
Structure: a crystal structure in Alexandria, relaxed with GGA-PBE
Intensities are scaled so that the largest is 100.

Structural model:
```
SrPmSb2O8
1.0
-2.732 2.732 5.792
2.732 -2.732 5.792
2.732 2.732 -5.792
Sr Pm Sb O
1 1 2 8
direct
0.000 0.000 0.000
0.250 0.750 0.500
0.500 0.500 0.000
0.750 0.250 0.500
0.019 0.096 0.444
0.244 0.653 0.079
0.347 0.427 0.591
0.426 0.981 0.077
0.573 0.165 0.921
0.651 0.574 0.556
0.835 0.756 0.409
0.904 0.349 0.923
```

Main lines, in order of rising 2θ (2θ = 15–90°):
| 2theta | d [Å] | intensity |
| --- | --- | --- |
| 27.76 | 3.214 | 100.0 |
| 32.78 | 2.732 | 19.4 |
| 45.65 | 1.987 | 31.8 |
| 47.04 | 1.932 | 15.3 |
| 53.02 | 1.727 | 16.3 |
| 55.50 | 1.656 | 27.9 |

=====

Computed powder diffractogram
Compound: PmTl2SbO4
Radiation: λ = 1.5418 Å (Cu Kα)
Structure: a crystal structure in Alexandria, relaxed with GGA-PBE
Intensities are scaled so that the largest is 100.

Structural model:
```
PmTl2SbO4
1.0
-3.687 3.705 5.220
3.687 -3.705 5.220
3.687 3.705 -5.220
Pm Tl Sb O
2 4 2 8
direct
0.000 0.000 0.000
0.500 0.000 0.500
0.000 0.500 0.500
0.500 0.000 0.000
0.500 0.500 0.000
0.500 0.500 0.500
0.000 0.000 0.500
0.000 0.500 0.000
0.186 0.229 0.957
0.225 0.181 0.456
0.225 0.770 0.044
0.228 0.771 0.457
0.772 0.229 0.543
0.775 0.230 0.956
0.775 0.819 0.544
0.814 0.771 0.043
```

Main lines, in order of rising 2θ (2θ = 15–90°):
| 2theta | d [Å] | intensity |
| --- | --- | --- |
| 29.56 | 3.022 | 68.7 |
| 29.67 | 3.011 | 68.1 |
| 34.33 | 2.612 | 100.0 |
| 49.37 | 1.846 | 57.8 |
| 58.49 | 1.578 | 22.3 |
| 58.66 | 1.574 | 44.3 |

=====

Computed powder diffractogram
Compound: PmYSbO2
Radiation: λ = 1.5418 Å (Cu Kα)
Structure: a crystal structure in Alexandria, relaxed with GGA-PBE
Intensities are scaled so that the largest is 100.

Structural model:
```
PmYSbO2
1.0
-1.959 1.959 6.783
1.959 -1.959 6.783
1.959 1.959 -6.783
Pm Y Sb O
1 1 1 2
direct
0.000 0.000 0.000
0.330 0.330 0.000
0.667 0.667 0.000
0.411 0.911 0.500
0.911 0.411 0.500
```

Main lines, in order of rising 2θ (2θ = 15–90°):
| 2theta | d [Å] | intensity |
| --- | --- | --- |
| 30.18 | 2.961 | 100.0 |
| 32.31 | 2.771 | 34.2 |
| 46.34 | 1.959 | 17.8 |
| 52.22 | 1.752 | 24.6 |
| 56.30 | 1.634 | 33.7 |
| 84.85 | 1.143 | 10.4 |

=====

Computed powder diffractogram
Compound: PmSc2SeO8
Radiation: λ = 1.5418 Å (Cu Kα)
Structure: a crystal structure in Alexandria, relaxed with GGA-PBE
Intensities are scaled so that the largest is 100.

Structural model:
```
PmSc2SeO8
1.0
3.337 -3.372 0.000
3.337 3.372 0.000
0.000 0.000 6.688
Pm Sc Se O
1 2 1 8
direct
0.000 0.000 0.000
0.500 0.500 0.266
0.500 0.500 0.734
0.000 0.000 0.500
0.187 0.187 0.302
0.187 0.187 0.698
0.275 0.725 0.500
0.331 0.669 0.000
0.669 0.331 0.000
0.725 0.275 0.500
0.813 0.813 0.302
0.813 0.813 0.698
```

Main lines, in order of rising 2θ (2θ = 15–90°):
| 2theta | d [Å] | intensity |
| --- | --- | --- |
| 18.71 | 4.743 | 51.9 |
| 26.43 | 3.372 | 67.2 |
| 26.71 | 3.338 | 79.6 |
| 32.77 | 2.733 | 100.0 |
| 50.82 | 1.797 | 43.6 |
| 51.15 | 1.786 | 42.5 |